# 1
# LaB2Pd2C
Calculated powder diffraction line list, CuKα. Input: a crystal structure in the Materials Project, relaxed with PBE.
Intensities are scaled so that the largest is 1000.

Largest 12 diffraction maxima, by angle, 5° ≤ 2θ ≤ 70°:
2θ/deg, intensity, (hkl)
17.08, 70, 0 0 2
24.03, 288, 1 0 1
34.40, 178, 1 0 3
34.55, 272, 0 0 4
36.42, 1000, 1 1 2
45.78, 285, 2 0 0
49.55, 55, 1 0 5
52.35, 78, 2 1 1
58.49, 76, 2 1 3
58.59, 233, 2 0 4
63.14, 206, 1 1 6
66.74, 89, 2 2 0

Cell lengths 3.964, 3.964, 10.384 Å; angles 90.00, 90.00, 90.00 degrees
Space group I4/mmm (No. 139)
Inequivalent atoms, fractional coordinates:
La 0.000 0.000 0.000 (multiplicity 2)
B 0.000 0.000 0.358 (multiplicity 4)
Pd 0.000 0.500 0.250 (multiplicity 4)
C 0.000 0.000 0.500 (multiplicity 2)

---

# 2
# Tb2Ni7
Calculated powder diffraction line list, CuKα. Input: a crystal structure in the Materials Project, relaxed with PBE.
Intensities are scaled so that the largest is 1000.

Largest 12 diffraction maxima, by angle, 5° ≤ 2θ ≤ 70°:
2θ/deg, intensity, (hkl)
32.54, 430, 1 0 10
34.54, 322, 0 1 11
36.46, 489, 1 1 0
42.43, 351, 0 2 1
43.11, 1000, 1 1 9
45.35, 152, 0 0 18
47.13, 113, 2 0 8
63.15, 129, 2 1 10
64.38, 105, 1 2 11
65.61, 87, 3 0 0
66.44, 105, 1 1 21
68.16, 104, 2 0 20

Cell lengths 4.9291, 4.9291, 35.9935 Å; angles 90.00, 90.00, 120.00 degrees
Space group R-3m (No. 166, hexagonal axes)
Inequivalent atoms, fractional coordinates:
Tb 0.0000 0.0000 0.0509 (multiplicity 6)
Tb 0.0000 0.0000 0.1477 (multiplicity 6)
Ni 0.0000 0.0000 0.2780 (multiplicity 6)
Ni 0.0000 0.0000 0.3881 (multiplicity 6)
Ni 0.0000 0.0000 0.5000 (multiplicity 3)
Ni 0.0000 0.5000 0.0000 (multiplicity 9)
Ni 0.0000 0.5000 0.1099 (multiplicity 18)

---

# 3
# Li5SbS
Calculated powder diffraction line list, CuKα. Input: a crystal structure in the Materials Project, relaxed with PBE.
Intensities are scaled so that the largest is 1000.

Largest 12 diffraction maxima, by angle, 5° ≤ 2θ ≤ 70°:
2θ/deg, intensity, (hkl)
14.08, 298, 0 1 1
17.43, 211, 1 0 1
23.94, 559, 1 0 -2
24.54, 483, 1 0 2
24.89, 1000, 1 2 0
28.39, 596, 0 2 2
28.55, 302, 2 0 0
39.75, 164, 0 0 4
40.32, 351, 2 2 -2
41.06, 353, 2 2 2
41.40, 177, 0 4 0
48.39, 310, 3 2 0

Cell lengths 6.256, 8.725, 9.073 Å; angles 90.00, 91.47, 90.00 degrees
Space group P2_1 (No. 4)
Inequivalent atoms, fractional coordinates:
Li 0.050 0.000 0.210 (multiplicity 2)
Li 0.207 0.228 0.743 (multiplicity 2)
Li 0.216 0.501 0.474 (multiplicity 2)
Li 0.221 0.754 0.736 (multiplicity 2)
Li 0.223 0.961 0.506 (multiplicity 2)
Li 0.270 0.996 0.961 (multiplicity 2)
Li 0.272 0.494 0.996 (multiplicity 2)
Li 0.304 0.269 0.220 (multiplicity 2)
Li 0.312 0.723 0.212 (multiplicity 2)
Li 0.435 0.220 0.511 (multiplicity 2)
Sb 0.003 0.746 0.998 (multiplicity 2)
Sb 0.488 0.491 0.724 (multiplicity 2)
S 0.028 0.235 0.489 (multiplicity 2)
S 0.477 0.998 0.725 (multiplicity 2)

---

# 4
# DyCdNi4
Calculated powder diffraction line list, CuKα. Input: a crystal structure in the Materials Project, relaxed with PBE.
Intensities are scaled so that the largest is 1000.

Largest 9 diffraction maxima, by angle, 5° ≤ 2θ ≤ 70°:
2θ/deg, intensity, (hkl)
21.93, 84, 1 1 1
25.38, 21, 2 0 0
36.20, 569, 2 2 0
42.72, 1000, 3 1 1
44.72, 190, 2 2 2
57.21, 24, 3 3 1
58.83, 8, 4 2 0
65.10, 200, 4 2 2
69.60, 297, 5 1 1

Cell lengths 7.019, 7.019, 7.019 Å; angles 90.00, 90.00, 90.00 degrees
Space group F-43m (No. 216)
Inequivalent atoms, fractional coordinates:
Dy 0.000 0.000 0.000 (multiplicity 4)
Cd 0.250 0.250 0.750 (multiplicity 4)
Ni 0.124 0.124 0.376 (multiplicity 16)

---

# 5
# CaLaI5
Calculated powder diffraction line list, CuKα. Input: a crystal structure in the Materials Project, relaxed with PBE.
Intensities are scaled so that the largest is 1000.

Largest 12 diffraction maxima, by angle, 5° ≤ 2θ ≤ 70°:
2θ/deg, intensity, (hkl)
11.46, 487, 0 2 0
23.04, 240, 0 4 0
24.93, 572, 1 1 3
25.92, 1000, 0 2 5
26.78, 242, 1 3 1
27.99, 918, 1 3 2
29.90, 276, 1 3 3
34.95, 321, 1 1 6
36.55, 366, 1 5 2
40.25, 273, 2 0 0
43.17, 258, 1 1 8
48.50, 355, 2 2 5

Cell lengths 4.481, 15.439, 19.191 Å; angles 90.00, 90.00, 90.00 degrees
Space group Cmcm (No. 63)
Inequivalent atoms, fractional coordinates:
Ca 0.000 0.010 0.250 (multiplicity 4)
La 0.000 0.500 0.000 (multiplicity 4)
I 0.000 0.127 0.057 (multiplicity 8)
I 0.000 0.353 0.750 (multiplicity 4)
I 0.000 0.405 0.148 (multiplicity 8)

---

# 6
# Pr4FeS7
Calculated powder diffraction line list, CuKα. Input: a crystal structure in the Materials Project, relaxed with PBE.
Intensities are scaled so that the largest is 1000.

Largest 12 diffraction maxima, by angle, 5° ≤ 2θ ≤ 70°:
2θ/deg, intensity, (hkl)
20.63, 123, 2 0 -2
24.27, 1000, 2 1 0
25.46, 155, 0 2 0
30.29, 130, 1 1 -3
32.99, 419, 2 2 -2
33.75, 182, 3 1 0
36.13, 382, 2 0 2
37.75, 111, 2 2 -3
39.89, 94, 4 1 -3
44.01, 144, 4 1 -4
44.16, 317, 2 3 0
44.72, 141, 2 2 2

Cell lengths 9.929, 6.998, 9.950 Å; angles 90.00, 119.93, 90.00 degrees
Space group P2_1 (No. 4)
Inequivalent atoms, fractional coordinates:
Pr 0.125 0.000 0.281 (multiplicity 2)
Pr 0.163 0.956 0.833 (multiplicity 2)
Pr 0.281 0.501 0.655 (multiplicity 2)
Pr 0.344 0.501 0.124 (multiplicity 2)
Fe 0.498 0.794 0.501 (multiplicity 2)
S 0.010 0.741 0.573 (multiplicity 2)
S 0.060 0.738 0.990 (multiplicity 2)
S 0.167 0.340 0.833 (multiplicity 2)
S 0.267 0.612 0.369 (multiplicity 2)
S 0.372 0.111 0.600 (multiplicity 2)
S 0.398 0.112 0.267 (multiplicity 2)
S 0.425 0.743 0.937 (multiplicity 2)